Diffraction record for Sr3AcV4O12. The XRD peak list is simulated, not measured: it uses a structure optimized by DFT (PBE+U) and Cu Kα (λ = 1.5418 Å).
Lines closer than 0.1° are merged.

Most intense lines, 10 to 80 degrees two-theta, by angle:
2θ (°)  I/Imax
19.87  20.6
26.08  100.0
30.25  42.9
33.00  19.0
40.37  21.8
43.18  23.2

Crystal structure
abc: 7.4766 7.4766 7.4766
angles: 104.38 104.38 104.38
Sites, in units of the cell vectors:
Sr  0.0000  0.5420  0.4580
Sr  0.4580  0.0000  0.5420
Sr  0.5420  0.4580  0.0000
Ac  0.0000  0.0000  0.0000
V  0.0437  0.5000  0.9563
V  0.5000  0.5000  0.5000
V  0.5000  0.9563  0.0437
V  0.9563  0.0437  0.5000
O  0.0260  0.6617  0.8183
O  0.1011  0.8989  0.5000
O  0.1817  0.3383  0.9740
O  0.3383  0.9740  0.1817
O  0.3535  0.6465  0.5000
O  0.5000  0.1011  0.8989
O  0.5000  0.3535  0.6465
O  0.6465  0.5000  0.3535
O  0.6617  0.8183  0.0260
O  0.8183  0.0260  0.6617
O  0.8989  0.5000  0.1011
O  0.9740  0.1817  0.3383